This entry pairs a crystal structure of Nd5Ge2Au with its computed powder diffraction line list. Radiation: a wavelength of 1.5418 Å. Structure: a structure optimized by DFT (PBE).
No peak broadening, texture or thermal motion is included.

Crystal structure
Unit cell a=9.226 b=9.226 c=9.226 alpha=130.07 beta=130.07 gamma=73.29
Element x y z (fractional)
Nd (0.000, 0.000, 0.000)
Nd (0.029, 0.529, 0.845)
Nd (0.184, 0.029, 0.500)
Nd (0.316, 0.816, 0.845)
Nd (0.471, 0.316, 0.500)
Nd (0.500, 0.500, 0.000)
Nd (0.529, 0.684, 0.500)
Nd (0.684, 0.184, 0.155)
Nd (0.816, 0.971, 0.500)
Nd (0.971, 0.471, 0.155)
Ge (0.125, 0.375, 0.500)
Ge (0.375, 0.875, 0.251)
Ge (0.625, 0.125, 0.749)
Ge (0.875, 0.625, 0.500)
Au (0.250, 0.250, 0.000)
Au (0.750, 0.750, 0.000)

Main lines, sorted by position (10 to 90 degrees two-theta):
d 3.390, I = 16
d 3.072, I = 37
d 2.846, I = 100
d 2.753, I = 26
d 2.683, I = 71
d 2.463, I = 74
d 1.764, I = 19
d 1.644, I = 25
d 1.480, I = 20
d 1.412, I = 16



This entry pairs a crystal structure of Ba2B2AsH3F18 with its computed powder diffraction line list. Radiation: a wavelength of 1.5418 Å. Structure: a structure optimized by DFT (PBE).
No peak broadening, texture or thermal motion is included.

Crystal structure
Unit cell a=7.033 b=7.033 c=17.663 alpha=90.00 beta=90.00 gamma=120.00
Element x y z (fractional)
Ba (0.333, 0.667, 0.124)
Ba (0.333, 0.667, 0.376)
Ba (0.667, 0.333, 0.624)
Ba (0.667, 0.333, 0.876)
B (0.333, 0.667, 0.609)
B (0.333, 0.667, 0.891)
B (0.667, 0.333, 0.109)
B (0.667, 0.333, 0.391)
As (0.000, 0.000, 0.000)
As (0.000, 0.000, 0.500)
H (0.111, 0.221, 0.250)
H (0.111, 0.889, 0.250)
H (0.221, 0.111, 0.750)
H (0.779, 0.889, 0.250)
H (0.889, 0.111, 0.750)
H (0.889, 0.779, 0.750)
F (0.000, 0.000, 0.250)
F (0.000, 0.000, 0.750)
F (0.114, 0.557, 0.635)
F (0.114, 0.557, 0.865)
F (0.118, 0.237, 0.058)
F (0.118, 0.237, 0.442)
F (0.118, 0.882, 0.058)
F (0.118, 0.882, 0.442)
F (0.194, 0.389, 0.250)
F (0.194, 0.806, 0.250)
F (0.237, 0.118, 0.558)
F (0.237, 0.118, 0.942)
F (0.333, 0.667, 0.528)
F (0.333, 0.667, 0.972)
F (0.389, 0.194, 0.750)
F (0.443, 0.557, 0.635)
F (0.443, 0.557, 0.865)
F (0.443, 0.886, 0.635)
F (0.443, 0.886, 0.865)
F (0.557, 0.114, 0.135)
F (0.557, 0.114, 0.365)
F (0.557, 0.443, 0.135)
F (0.557, 0.443, 0.365)
F (0.611, 0.806, 0.250)
F (0.667, 0.333, 0.028)
F (0.667, 0.333, 0.472)
F (0.763, 0.882, 0.058)
F (0.763, 0.882, 0.442)
F (0.806, 0.194, 0.750)
F (0.806, 0.611, 0.750)
F (0.882, 0.118, 0.558)
F (0.882, 0.118, 0.942)
F (0.882, 0.763, 0.558)
F (0.882, 0.763, 0.942)
F (0.886, 0.443, 0.135)
F (0.886, 0.443, 0.365)

Main lines, sorted by position (10 to 90 degrees two-theta):
d 8.831, I = 22
d 5.758, I = 69
d 5.014, I = 22
d 3.575, I = 100
d 3.516, I = 100
d 2.306, I = 35
d 2.283, I = 36
d 2.144, I = 29
d 2.041, I = 38
d 1.870, I = 30



This entry pairs a crystal structure of Pr4Al2TlHg with its computed powder diffraction line list. Radiation: a wavelength of 1.5418 Å. Structure: a structure optimized by DFT (PBE).
No peak broadening, texture or thermal motion is included.

Crystal structure
Unit cell a=9.426 b=9.426 c=9.426 alpha=33.51 beta=33.51 gamma=33.51
Element x y z (fractional)
Pr (0.123, 0.123, 0.123)
Pr (0.373, 0.373, 0.373)
Pr (0.627, 0.627, 0.627)
Pr (0.877, 0.877, 0.877)
Al (0.250, 0.250, 0.250)
Al (0.750, 0.750, 0.750)
Tl (0.500, 0.500, 0.500)
Hg (0.000, 0.000, 0.000)

Main lines, sorted by position (10 to 90 degrees two-theta):
d 4.440, I = 25
d 2.719, I = 100
d 2.319, I = 15
d 1.922, I = 18
d 1.764, I = 7
d 1.570, I = 38
d 1.480, I = 5
d 1.359, I = 12
d 1.300, I = 5
d 1.216, I = 16



This entry pairs a crystal structure of BaTlNiH4 with its computed powder diffraction line list. Radiation: a wavelength of 1.5418 Å. Structure: a structure optimized by DFT (PBE).
No peak broadening, texture or thermal motion is included.

Crystal structure
Unit cell a=7.863 b=7.863 c=5.261 alpha=90.00 beta=90.00 gamma=140.88
Element x y z (fractional)
Ba (0.119, 0.881, 0.750)
Ba (0.881, 0.119, 0.250)
Tl (0.380, 0.620, 0.750)
Tl (0.620, 0.380, 0.250)
Ni (0.250, 0.750, 0.250)
Ni (0.750, 0.250, 0.750)
H (0.000, 0.500, 0.000)
H (0.000, 0.500, 0.500)
H (0.140, 0.860, 0.250)
H (0.358, 0.642, 0.250)
H (0.500, 0.000, 0.000)
H (0.500, 0.000, 0.500)
H (0.642, 0.358, 0.750)
H (0.860, 0.140, 0.750)

Main lines, sorted by position (10 to 90 degrees two-theta):
d 3.705, I = 29
d 3.609, I = 40
d 2.972, I = 100
d 2.632, I = 55
d 2.318, I = 31
d 2.145, I = 28
d 1.861, I = 20
d 1.840, I = 13
d 1.577, I = 30
d 1.515, I = 19



This entry pairs a crystal structure of In9Pb4S17 with its computed powder diffraction line list. Radiation: a wavelength of 1.5418 Å. Structure: a structure optimized by DFT (PBE).
No peak broadening, texture or thermal motion is included.

Crystal structure
Unit cell a=15.569 b=22.939 c=3.890 alpha=90.00 beta=90.00 gamma=90.00
Element x y z (fractional)
In (0.000, 0.000, 0.000)
In (0.050, 0.423, 0.000)
In (0.063, 0.138, 0.500)
In (0.164, 0.264, 0.000)
In (0.232, 0.892, 0.500)
In (0.268, 0.392, 0.500)
In (0.336, 0.764, 0.000)
In (0.437, 0.638, 0.500)
In (0.450, 0.923, 0.000)
In (0.500, 0.500, 0.000)
In (0.550, 0.077, 0.000)
In (0.563, 0.362, 0.500)
In (0.664, 0.236, 0.000)
In (0.732, 0.608, 0.500)
In (0.768, 0.108, 0.500)
In (0.836, 0.736, 0.000)
In (0.937, 0.862, 0.500)
In (0.950, 0.577, 0.000)
Pb (0.101, 0.721, 0.500)
Pb (0.210, 0.567, 0.500)
Pb (0.290, 0.067, 0.500)
Pb (0.399, 0.221, 0.500)
Pb (0.601, 0.779, 0.500)
Pb (0.710, 0.933, 0.500)
Pb (0.790, 0.433, 0.500)
Pb (0.899, 0.279, 0.500)
S (0.000, 0.500, 0.500)
S (0.018, 0.211, 0.000)
S (0.068, 0.933, 0.500)
S (0.104, 0.629, 0.000)
S (0.105, 0.345, 0.500)
S (0.129, 0.072, 0.000)
S (0.193, 0.819, 0.000)
S (0.212, 0.461, 0.000)
S (0.215, 0.195, 0.500)
S (0.285, 0.695, 0.500)
S (0.288, 0.961, 0.000)
S (0.307, 0.319, 0.000)
S (0.371, 0.572, 0.000)
S (0.395, 0.845, 0.500)
S (0.396, 0.129, 0.000)
S (0.432, 0.433, 0.500)
S (0.482, 0.711, 0.000)
S (0.500, 0.000, 0.500)
S (0.518, 0.289, 0.000)
S (0.568, 0.567, 0.500)
S (0.604, 0.871, 0.000)
S (0.605, 0.155, 0.500)
S (0.629, 0.428, 0.000)
S (0.693, 0.681, 0.000)
S (0.712, 0.039, 0.000)
S (0.715, 0.305, 0.500)
S (0.785, 0.805, 0.500)
S (0.788, 0.539, 0.000)
S (0.807, 0.181, 0.000)
S (0.871, 0.928, 0.000)
S (0.895, 0.655, 0.500)
S (0.896, 0.371, 0.000)
S (0.932, 0.067, 0.500)
S (0.982, 0.789, 0.000)

Main lines, sorted by position (10 to 90 degrees two-theta):
d 3.848, I = 38
d 3.686, I = 47
d 3.470, I = 87
d 3.438, I = 59
d 3.330, I = 42
d 2.914, I = 43
d 2.772, I = 100
d 2.686, I = 56
d 2.575, I = 41
d 1.945, I = 42



This entry pairs a crystal structure of Ac2Ga12Ge with its computed powder diffraction line list. Radiation: a wavelength of 1.5418 Å. Structure: a structure optimized by DFT (PBE).
No peak broadening, texture or thermal motion is included.

Crystal structure
Unit cell a=6.551 b=6.551 c=15.263 alpha=90.00 beta=90.00 gamma=90.00
Element x y z (fractional)
Ac (0.250, 0.750, 0.245)
Ac (0.250, 0.750, 0.755)
Ac (0.750, 0.250, 0.245)
Ac (0.750, 0.250, 0.755)
Ga (0.001, 0.501, 0.087)
Ga (0.001, 0.999, 0.913)
Ga (0.066, 0.566, 0.573)
Ga (0.066, 0.934, 0.427)
Ga (0.250, 0.250, 0.172)
Ga (0.250, 0.250, 0.341)
Ga (0.250, 0.250, 0.659)
Ga (0.250, 0.250, 0.828)
Ga (0.434, 0.566, 0.427)
Ga (0.434, 0.934, 0.573)
Ga (0.499, 0.501, 0.913)
Ga (0.499, 0.999, 0.087)
Ga (0.501, 0.001, 0.913)
Ga (0.501, 0.499, 0.087)
Ga (0.566, 0.066, 0.427)
Ga (0.566, 0.434, 0.573)
Ga (0.750, 0.750, 0.172)
Ga (0.750, 0.750, 0.341)
Ga (0.750, 0.750, 0.659)
Ga (0.750, 0.750, 0.828)
Ga (0.934, 0.066, 0.573)
Ga (0.934, 0.434, 0.427)
Ga (0.999, 0.001, 0.087)
Ga (0.999, 0.499, 0.913)
Ge (0.250, 0.750, 0.000)
Ge (0.750, 0.250, 0.000)

Main lines, sorted by position (10 to 90 degrees two-theta):
d 4.632, I = 17
d 3.010, I = 100
d 2.945, I = 69
d 2.485, I = 35
d 2.316, I = 64
d 2.230, I = 44
d 1.821, I = 39
d 1.638, I = 16
d 1.403, I = 18
d 1.320, I = 17